No. 1
# AlPt
Theoretical PXRD pattern, λ = 1.5418 Å (Cu Kα). Input: a cell relaxed with PBE.
Neutral-atom scattering factors, no anomalous dispersion.

Structural model:
Unit cell a=3.092 b=3.092 c=3.092 alpha=90.00 beta=90.00 gamma=90.00
Space group Pm-3m (No. 221)
Asymmetric unit:
Al  0.000  0.000  0.000 x1
Pt  0.500  0.500  0.500 x1

Principal peaks in the range 2θ from 10° to 80°, low angle first:
- 28.88°, rel. 73, (1 0 0)
- 41.30°, rel. 100, (1 1 0)
- 51.18°, rel. 21, (1 1 1)
- 59.83°, rel. 17, (2 0 0)
- 67.78°, rel. 27, (2 1 0)
- 75.30°, rel. 35, (2 1 1)



No. 2
# SrTiO3
Theoretical PXRD pattern, λ = 1.5418 Å (Cu Kα). Input: a cell relaxed with PBE.
Neutral-atom scattering factors, no anomalous dispersion.

Structural model:
Unit cell a=5.568 b=5.568 c=7.907 alpha=90.00 beta=90.00 gamma=90.00
Space group I4/mcm (No. 140)
Asymmetric unit:
Sr  0.000  0.500  0.250 x4
Ti  0.000  0.000  0.000 x4
O  0.000  0.000  0.250 x4
O  0.229  0.271  0.000 x8

Principal peaks in the range 2θ from 10° to 80°, low angle first:
- 32.11°, rel. 100, (2 0 0)
- 39.59°, rel. 21, (2 0 2)
- 45.91°, rel. 14, (0 0 4)
- 46.11°, rel. 27, (2 2 0)
- 57.15°, rel. 13, (2 0 4)
- 57.28°, rel. 26, (3 1 2)
- 67.10°, rel. 15, (2 2 4)
- 67.26°, rel. 8, (4 0 0)
- 76.18°, rel. 5, (1 1 6)
- 76.50°, rel. 11, (4 2 0)



No. 3
# HfTiC2
Theoretical PXRD pattern, λ = 1.5418 Å (Cu Kα). Input: a cell relaxed with PBE.
Neutral-atom scattering factors, no anomalous dispersion.

Structural model:
Unit cell a=3.1938 b=3.1938 c=15.4800 alpha=90.00 beta=90.00 gamma=120.00
Space group R-3m (No. 166, hexagonal axes)
Asymmetric unit:
Hf  0.0000  0.0000  0.0000 x3
Ti  0.0000  0.0000  0.5000 x3
C  0.0000  0.0000  0.2459 x6

Principal peaks in the range 2θ from 10° to 80°, low angle first:
- 17.18°, rel. 68, (0 0 3)
- 32.90°, rel. 46, (1 0 1)
- 34.43°, rel. 100, (0 1 2)
- 34.77°, rel. 33, (0 0 6)
- 40.07°, rel. 95, (1 0 4)
- 43.89°, rel. 22, (0 1 5)
- 57.73°, rel. 31, (1 1 0)
- 58.19°, rel. 31, (0 1 8)
- 60.71°, rel. 17, (1 1 3)
- 69.19°, rel. 27, (1 1 6)



No. 4
# MgP3NO9
Theoretical PXRD pattern, λ = 1.5418 Å (Cu Kα). Input: a cell relaxed with PBE.
Neutral-atom scattering factors, no anomalous dispersion.

Structural model:
Unit cell a=6.6821 b=6.6821 c=9.9676 alpha=90.00 beta=90.00 gamma=120.00
Space group P-6c2 (No. 188)
Asymmetric unit:
Mg  0.0000  0.0000  0.0000 x2
P  0.3835  0.1088  0.2500 x6
N  0.3333  0.6667  0.0000 x2
O  0.2558  0.0062  0.1221 x12
O  0.4782  0.0947  0.7500 x6

Principal peaks in the range 2θ from 10° to 80°, low angle first:
- 15.31°, rel. 67, (1 0 0)
- 17.80°, rel. 69, (0 0 2)
- 23.56°, rel. 100, (1 0 2)
- 28.17°, rel. 76, (1 1 1)
- 30.90°, rel. 24, (2 0 0)
- 32.26°, rel. 49, (1 1 2)
- 42.30°, rel. 28, (2 1 1)
- 48.19°, rel. 15, (2 0 4)
- 55.94°, rel. 21, (2 1 4)
- 58.23°, rel. 18, (3 1 1)



No. 5
# Li3Y
Theoretical PXRD pattern, λ = 1.5418 Å (Cu Kα). Input: a cell relaxed with PBE.
Neutral-atom scattering factors, no anomalous dispersion.

Structural model:
Unit cell a=6.5681 b=6.5681 c=4.9928 alpha=90.00 beta=90.00 gamma=120.00
Space group P6_3/mmc (No. 194)
Asymmetric unit:
Li  0.1498  0.2995  0.2500 x6
Y  0.3333  0.6667  0.7500 x2

Principal peaks in the range 2θ from 10° to 80°, low angle first:
- 15.58°, rel. 39, (1 0 0)
- 23.71°, rel. 100, (1 0 1)
- 27.15°, rel. 46, (1 1 0)
- 31.45°, rel. 12, (2 0 0)
- 35.98°, rel. 11, (0 0 2)
- 36.35°, rel. 47, (2 0 1)
- 45.65°, rel. 22, (1 1 2)
- 45.96°, rel. 30, (2 1 1)
- 61.66°, rel. 14, (3 1 1)
- 68.38°, rel. 9, (2 2 2)



No. 6
# TiVS2
Theoretical PXRD pattern, λ = 1.5418 Å (Cu Kα). Input: a cell relaxed with PBE.
Neutral-atom scattering factors, no anomalous dispersion.

Structural model:
Unit cell a=3.318 b=5.846 c=5.974 alpha=90.00 beta=90.00 gamma=90.00
Space group Pmc2_1 (No. 26)
Asymmetric unit:
Ti  0.000  0.059  0.000 x2
V  0.500  0.442  0.977 x2
S  0.000  0.336  0.710 x2
S  0.500  0.179  0.277 x2

Principal peaks in the range 2θ from 10° to 80°, low angle first:
- 30.99°, rel. 35, (1 1 0)
- 34.15°, rel. 26, (0 2 1)
- 34.52°, rel. 43, (1 1 1)
- 43.31°, rel. 40, (0 2 2)
- 43.61°, rel. 100, (1 1 2)
- 43.98°, rel. 41, (1 2 1)
- 49.18°, rel. 19, (0 3 1)
- 54.62°, rel. 20, (1 3 0)
- 55.38°, rel. 22, (2 0 0)
- 72.79°, rel. 15, (2 2 2)



No. 7
# KTh6F25
Theoretical PXRD pattern, λ = 1.5418 Å (Cu Kα). Input: a cell relaxed with PBE.
Neutral-atom scattering factors, no anomalous dispersion.

Structural model:
Unit cell a=8.374 b=8.374 c=9.786 alpha=64.67 beta=64.67 gamma=60.00
Space group P1 (No. 1)
Asymmetric unit:
K  0.000  0.000  0.000 x1
Th  0.090  0.585  0.731 x1
Th  0.400  0.912  0.273 x1
Th  0.409  0.407  0.276 x1
Th  0.585  0.084  0.727 x1
Th  0.588  0.589  0.732 x1
Th  0.897  0.412  0.276 x1
F  0.127  0.122  0.193 x1
F  0.128  0.547  0.195 x1
F  0.172  0.501  0.497 x1
F  0.179  0.816  0.502 x1
F  0.208  0.201  0.373 x1
F  0.250  0.243  0.810 x1
F  0.252  0.685  0.803 x1
F  0.302  0.752  0.195 x1
F  0.441  0.452  0.648 x1
F  0.447  0.871  0.802 x1
F  0.490  0.497  0.008 x1
F  0.491  0.816  0.503 x1
F  0.495  0.000  0.996 x1
F  0.500  0.171  0.504 x1
F  0.542  0.544  0.358 x1
F  0.547  0.118  0.198 x1
F  0.681  0.253  0.813 x1
F  0.740  0.748  0.200 x1
F  0.744  0.314  0.192 x1
F  0.789  0.784  0.636 x1
F  0.815  0.176  0.508 x1
F  0.815  0.504  0.504 x1
F  0.870  0.447  0.802 x1
F  0.872  0.872  0.802 x1
F  0.993  0.498  0.997 x1

Principal peaks in the range 2θ from 10° to 80°, low angle first:
- 12.69°, rel. 57, (1 0 0)
- 20.88°, rel. 66, (0 0 2)
- 21.25°, rel. 54, (1 0 2)
- 24.80°, rel. 100, (2 0 1)
- 28.31°, rel. 32, (0 2 2)
- 30.23°, rel. 59, (2 0 -1)
- 43.22°, rel. 51, (2 4 2)
- 43.35°, rel. 30, (0 2 4)
- 46.46°, rel. 35, (2 0 -3)
- 48.46°, rel. 53, (2 4 0)



No. 8
# LiScTl2Cl6
Theoretical PXRD pattern, λ = 1.5418 Å (Cu Kα). Input: a cell relaxed with PBE.
Neutral-atom scattering factors, no anomalous dispersion.

Structural model:
Unit cell a=10.150 b=10.150 c=10.150 alpha=90.00 beta=90.00 gamma=90.00
Space group Fm-3m (No. 225)
Asymmetric unit:
Li  0.000  0.000  0.000 x4
Sc  0.000  0.000  0.500 x4
Tl  0.250  0.250  0.250 x8
Cl  0.000  0.000  0.254 x24

Principal peaks in the range 2θ from 10° to 80°, low angle first:
- 17.47°, rel. 57, (2 0 0)
- 24.81°, rel. 100, (2 2 0)
- 30.51°, rel. 91, (2 2 2)
- 35.37°, rel. 63, (4 0 0)
- 39.71°, rel. 33, (4 2 0)
- 43.69°, rel. 47, (4 2 2)
- 50.89°, rel. 43, (4 4 0)
- 57.42°, rel. 21, (6 2 0)
- 60.50°, rel. 37, (6 2 2)
- 69.27°, rel. 25, (6 4 2)



No. 9
# Ho6Pb2Se11
Theoretical PXRD pattern, λ = 1.5418 Å (Cu Kα). Input: a cell relaxed with PBE.
Neutral-atom scattering factors, no anomalous dispersion.

Structural model:
Unit cell a=4.079 b=13.523 c=38.200 alpha=90.00 beta=90.00 gamma=90.00
Space group Cmc2_1 (No. 36)
Asymmetric unit:
Ho  0.000  0.001  0.000 x4
Ho  0.000  0.026  0.635 x4
Ho  0.000  0.026  0.868 x4
Ho  0.000  0.245  0.320 x4
Ho  0.000  0.248  0.182 x4
Ho  0.000  0.269  0.944 x4
Pb  0.000  0.273  0.558 x4
Pb  0.000  0.484  0.750 x4
Se  0.000  0.072  0.069 x4
Se  0.000  0.088  0.431 x4
Se  0.000  0.121  0.702 x4
Se  0.000  0.122  0.803 x4
Se  0.000  0.169  0.251 x4
Se  0.000  0.337  0.390 x4
Se  0.000  0.342  0.115 x4
Se  0.000  0.352  0.483 x4
Se  0.000  0.362  0.012 x4
Se  0.000  0.396  0.664 x4
Se  0.000  0.397  0.840 x4

Principal peaks in the range 2θ from 10° to 80°, low angle first:
- 22.80°, rel. 100, (0 2 8)
- 28.90°, rel. 39, (0 2 11)
- 29.59°, rel. 37, (1 3 0)
- 29.91°, rel. 50, (1 3 2)
- 30.38°, rel. 30, (1 3 3)
- 31.82°, rel. 55, (1 3 5)
- 38.34°, rel. 30, (1 1 13)
- 44.44°, rel. 85, (2 0 0)
- 50.50°, rel. 24, (2 2 8)
- 64.66°, rel. 23, (2 6 8)



No. 10
# CeSe2
Theoretical PXRD pattern, λ = 1.5418 Å (Cu Kα). Input: a cell relaxed with PBE.
Neutral-atom scattering factors, no anomalous dispersion.

Structural model:
Unit cell a=21.3459 b=21.3459 c=6.1009 alpha=90.00 beta=90.00 gamma=120.00
Space group P622 (No. 177)
Asymmetric unit:
Ce  0.1309  0.4775  0.3264 x12
Se  0.0000  0.3833  0.5000 x6
Se  0.1118  0.5559  0.0000 x6
Se  0.2095  0.4189  0.5000 x6
Se  0.2171  0.6086  0.5000 x6

Principal peaks in the range 2θ from 10° to 80°, low angle first:
- 14.52°, rel. 55, (0 0 1)
- 19.31°, rel. 100, (2 1 1)
- 22.65°, rel. 42, (3 1 1)
- 28.22°, rel. 24, (5 0 1)
- 30.66°, rel. 25, (5 1 1)
- 32.93°, rel. 31, (4 3 1)
- 38.07°, rel. 21, (6 2 1)
- 38.25°, rel. 28, (5 0 2)
- 42.34°, rel. 24, (5 5 0)
- 51.28°, rel. 22, (5 0 3)



No. 11
# Sm5Ru2
Theoretical PXRD pattern, λ = 1.5418 Å (Cu Kα). Input: a cell relaxed with PBE.
Neutral-atom scattering factors, no anomalous dispersion.

Structural model:
Unit cell a=16.154 b=6.511 c=7.369 alpha=90.00 beta=96.67 gamma=90.00
Space group C2/c (No. 15)
Asymmetric unit:
Sm  0.000  0.077  0.250 x4
Sm  0.093  0.386  0.916 x8
Sm  0.217  0.076  0.314 x8
Ru  0.110  0.214  0.574 x8

Principal peaks in the range 2θ from 10° to 80°, low angle first:
- 27.95°, rel. 31, (1 1 -2)
- 30.04°, rel. 43, (0 2 1)
- 31.10°, rel. 100, (5 1 0)
- 32.60°, rel. 25, (2 2 1)
- 34.15°, rel. 24, (3 1 2)
- 34.66°, rel. 26, (5 1 1)
- 35.06°, rel. 20, (4 0 2)
- 39.22°, rel. 25, (1 1 -3)
- 51.56°, rel. 34, (1 1 -4)
- 56.56°, rel. 27, (1 3 -3)



No. 12
# USbRh
Theoretical PXRD pattern, λ = 1.5418 Å (Cu Kα). Input: a cell relaxed with PBE.
Neutral-atom scattering factors, no anomalous dispersion.

Structural model:
Unit cell a=6.532 b=6.532 c=6.532 alpha=90.00 beta=90.00 gamma=90.00
Space group F-43m (No. 216)
Asymmetric unit:
U  0.000  0.000  0.000 x4
Sb  0.000  0.000  0.500 x4
Rh  0.250  0.250  0.250 x4

Principal peaks in the range 2θ from 10° to 80°, low angle first:
- 23.59°, rel. 26, (1 1 1)
- 27.31°, rel. 36, (2 0 0)
- 39.00°, rel. 100, (2 2 0)
- 46.09°, rel. 14, (3 1 1)
- 48.26°, rel. 11, (2 2 2)
- 56.34°, rel. 17, (4 0 0)
- 61.92°, rel. 6, (3 3 1)
- 63.71°, rel. 14, (4 2 0)
- 70.64°, rel. 35, (4 2 2)
- 75.65°, rel. 5, (5 1 1)